For LiVOF2, a GGA+U-relaxed structure gives the theoretical X-ray powder pattern in this record (Cu Kα, 1.54184 Å).
Peak positions follow from Bragg's law for the DFT cell and can differ from measured ones.

Top 6 peaks for 10 to 80 degrees two-theta, sorted by position:
- d = 6.648 Å, 13.32 deg, I = 90, (1 0 0)
- d = 6.275 Å, 14.11 deg, I = 100, (1 0 -2)
- d = 4.141 Å, 21.46 deg, I = 96, (1 1 0)
- d = 4.046 Å, 21.97 deg, I = 85, (1 1 -2)
- d = 3.327 Å, 26.79 deg, I = 98, (2 0 0)
- d = 3.138 Å, 28.44 deg, I = 73, (2 0 -4)

Cell and atoms:
abc: 8.804 5.294 12.588
angles: 90.00 130.96 90.00
Sites, in units of the cell vectors:
Li  0.000  0.074  0.000
Li  0.000  0.926  0.500
Li  0.479  0.096  0.189
Li  0.479  0.904  0.689
Li  0.681  0.393  0.709
Li  0.681  0.607  0.209
Li  0.804  0.425  0.495
Li  0.804  0.575  0.995
V  0.195  0.449  0.911
V  0.195  0.551  0.411
V  0.312  0.419  0.683
V  0.312  0.581  0.183
V  0.394  0.115  0.426
V  0.394  0.885  0.926
V  0.840  0.115  0.187
V  0.840  0.885  0.687
O  0.217  0.294  0.057
O  0.217  0.706  0.557
O  0.299  0.428  0.320
O  0.299  0.572  0.820
O  0.373  0.265  0.559
O  0.373  0.735  0.059
O  0.929  0.419  0.284
O  0.929  0.581  0.784
F  0.040  0.258  0.566
F  0.040  0.742  0.066
F  0.117  0.069  0.813
F  0.117  0.931  0.313
F  0.425  0.075  0.799
F  0.425  0.925  0.299
F  0.529  0.211  0.052
F  0.529  0.789  0.552
F  0.596  0.426  0.297
F  0.596  0.574  0.797
F  0.696  0.214  0.560
F  0.696  0.786  0.060
F  0.779  0.059  0.796
F  0.779  0.941  0.296
F  0.857  0.228  0.047
F  0.857  0.772  0.547